[1]
Starting from a structure optimized by DFT (GGA-PBE), the powder X-ray diffraction pattern of TmBePd3 was simulated for Cu Kα (weighted mean of Kα1 and Kα2).
Peak positions follow from Bragg's law for the DFT cell and can differ from measured ones.

Largest 10 diffraction maxima, by intensity, 15° ≤ 2θ ≤ 90°:
2theta, I_rel
33.96, 100
38.92, 91
37.01, 56
41.36, 53
67.54, 35
37.64, 34
44.46, 27
43.07, 26
52.84, 25
73.78, 22

```
10
Lattice="4.0752 -5.6220 0.0000 4.0752 5.6220 0.0000 0.0000 0.0000 3.4651" Properties=species:S:1:pos:R:3 pbc="T T T"
Tm 4.0752 3.0871 0.0000
Tm 4.0752 -3.0871 0.0000
Be 1.7230 0.0000 0.0000
Be 6.4274 0.0000 0.0000
Pd 0.0000 0.0000 1.7325
Pd 2.3575 1.4563 1.7325
Pd 2.3575 -1.4563 1.7325
Pd 4.0752 0.0000 0.0000
Pd 5.7929 1.4563 1.7325
Pd 5.7929 -1.4563 1.7325
```

---

[2]
Starting from a structure optimized by DFT (GGA-PBE), the powder X-ray diffraction pattern of TmBe9Pd2 was simulated for Cu Kα (weighted mean of Kα1 and Kα2).
Peak positions follow from Bragg's law for the DFT cell and can differ from measured ones.

Largest 10 diffraction maxima, by intensity, 15° ≤ 2θ ≤ 90°:
2theta, I_rel
23.67, 100
39.05, 90
40.09, 59
22.83, 52
47.77, 43
24.89, 30
72.15, 29
57.21, 25
34.03, 22
47.09, 22

```
24
Lattice="4.4980 0.0000 0.0000 -2.2490 3.8954 0.0000 0.0000 0.0000 14.3098" Properties=species:S:1:pos:R:3 pbc="T T T"
Tm 0.0000 2.5969 3.5774
Tm 2.2490 1.2985 10.7323
Be 0.0000 0.0000 0.0000
Be 0.0000 0.0000 3.5774
Be 0.0000 0.0000 7.1549
Be 0.0000 0.0000 10.7323
Be 0.0000 1.3081 8.8691
Be 0.0000 1.3081 12.5956
Be -1.1162 3.2414 8.8691
Be -1.1162 3.2414 12.5956
Be 0.0000 2.5969 10.7323
Be 1.1328 0.6540 1.7142
Be 1.1328 0.6540 5.4407
Be 1.1162 3.2414 8.8691
Be 1.1162 3.2414 12.5956
Be 2.2490 1.2985 3.5774
Be 3.3652 0.6540 1.7142
Be 3.3652 0.6540 5.4407
Be 2.2490 2.5873 1.7142
Be 2.2490 2.5873 5.4407
Pd 0.0000 2.5969 0.5999
Pd 0.0000 2.5969 6.5550
Pd 2.2490 1.2985 7.7548
Pd 2.2490 1.2985 13.7099
```

---

[3]
Starting from a structure optimized by DFT (GGA-PBE), the powder X-ray diffraction pattern of BeVPd was simulated for Cu Kα (weighted mean of Kα1 and Kα2).
Peak positions follow from Bragg's law for the DFT cell and can differ from measured ones.

Largest 10 diffraction maxima, by intensity, 15° ≤ 2θ ≤ 90°:
2theta, I_rel
39.86, 100
42.10, 48
23.40, 41
38.94, 33
45.93, 18
71.14, 17
31.97, 15
24.97, 13
51.24, 11
53.02, 10

```
6
Lattice="0.0000 3.8010 4.1376 2.3127 0.0000 4.1376 2.3127 3.8010 0.0000" Properties=species:S:1:pos:R:3 pbc="T T T"
Be 1.1563 1.9005 2.0688
Be 3.4690 5.7015 6.2064
V 2.3127 1.1186 4.1376
V 2.3127 6.4834 4.1376
Pd 2.3127 3.8010 2.8020
Pd 2.3127 3.8010 5.4731
```

---

[4]
Starting from a structure optimized by DFT (GGA-PBE), the powder X-ray diffraction pattern of BeZnPd was simulated for Cu Kα (weighted mean of Kα1 and Kα2).
Peak positions follow from Bragg's law for the DFT cell and can differ from measured ones.

Largest 10 diffraction maxima, by intensity, 15° ≤ 2θ ≤ 90°:
2theta, I_rel
43.47, 100
30.28, 40
36.81, 37
26.75, 30
45.97, 23
43.71, 20
83.34, 14
79.07, 14
56.04, 14
65.30, 12

```
6
Lattice="1.5195 -6.2128 0.0000 1.5195 6.2128 0.0000 0.0000 0.0000 3.9487" Properties=species:S:1:pos:R:3 pbc="T T T"
Be 1.5195 5.4496 2.9615
Be 1.5195 -5.4496 0.9872
Zn 1.5195 2.8435 0.9872
Zn 1.5195 -2.8435 2.9615
Pd 1.5195 1.0498 2.9615
Pd 1.5195 -1.0498 0.9872
```

---

[5]
Starting from a structure optimized by DFT (GGA-PBE), the powder X-ray diffraction pattern of Pm4Be was simulated for Cu Kα (weighted mean of Kα1 and Kα2).
Peak positions follow from Bragg's law for the DFT cell and can differ from measured ones.

Largest 9 diffraction maxima, by intensity, 15° ≤ 2θ ≤ 90°:
2theta, I_rel
28.33, 100
32.82, 53
55.88, 45
47.10, 39
76.02, 18
78.37, 17
58.60, 14
87.59, 14
68.82, 6

```
5
Lattice="5.4569 0.0000 0.0000 0.0000 5.4569 0.0000 0.0000 0.0000 5.4569" Properties=species:S:1:pos:R:3 pbc="T T T"
Pm 0.0000 0.0000 0.0000
Pm 0.0000 2.7285 2.7285
Pm 2.7285 0.0000 2.7285
Pm 2.7285 2.7285 0.0000
Be 2.7285 2.7285 2.7285
```

---

[6]
Starting from a structure optimized by DFT (GGA-PBE), the powder X-ray diffraction pattern of PmBe3 was simulated for Cu Kα (weighted mean of Kα1 and Kα2).
Peak positions follow from Bragg's law for the DFT cell and can differ from measured ones.

Largest 10 diffraction maxima, by intensity, 15° ≤ 2θ ≤ 90°:
2theta, I_rel
28.59, 100
33.05, 85
16.24, 81
22.05, 66
36.18, 60
29.90, 44
34.20, 40
41.26, 39
29.38, 36
55.11, 36

```
8
Lattice="3.6608 0.0000 0.0000 0.0000 5.9776 0.0000 0.0000 0.0000 5.4590" Properties=species:S:1:pos:R:3 pbc="T T T"
Pm 0.9152 1.4944 0.5967
Pm 2.7456 4.4832 4.8623
Be 0.9152 0.3622 3.2236
Be 0.9152 2.6266 3.2236
Be 0.9152 4.4832 2.0836
Be 2.7456 1.4944 3.3754
Be 2.7456 3.3510 2.2354
Be 2.7456 5.6154 2.2354
```